Simulated powder diffraction line list
Compound: Gd2NiPtO6
Radiation: Cu Kα X-rays
Structure: a crystal structure in Alexandria, relaxed with GGA+U
Intensities are scaled so that the largest is 100.

Crystal structure
```
Gd2NiPtO6
1.0
5.390 0.000 0.000
0.000 5.773 0.000
-5.379 0.000 7.746
Gd Ni Pt O
4 2 2 12
Direct
0.228 0.075 0.251
0.228 0.425 0.751
0.772 0.575 0.249
0.772 0.925 0.749
0.500 0.000 0.000
0.500 0.500 0.500
0.000 0.000 0.500
0.000 0.500 0.000
0.125 0.198 0.941
0.125 0.302 0.441
0.253 0.693 0.942
0.253 0.807 0.442
0.367 0.043 0.749
0.367 0.457 0.249
0.633 0.543 0.751
0.633 0.957 0.251
0.747 0.193 0.558
0.747 0.307 0.058
0.875 0.698 0.559
0.875 0.802 0.059
```

Largest 6 diffraction maxima, in order of rising 2θ, 15° ≤ 2θ ≤ 90°:
- 25.36°, d = 3.512 Å, I 14
- 30.98°, d = 2.887 Å, I 20
- 32.42°, d = 2.762 Å, I 100
- 33.25°, d = 2.695 Å, I 24
- 46.08°, d = 1.970 Å, I 17
- 58.88°, d = 1.568 Å, I 23